Diffraction record for CdPtAuO5. The powder diffractogram is calculated, not measured: it uses a structure optimized by DFT (PBE) and copper Kα.
Neutral-atom scattering factors, no anomalous dispersion.

Cell and atoms:
Lattice parameters (Å, degrees): 6.2734 6.2734 6.1585 108.39 108.39 101.36
Positions (direct):
Cd  0.0716  0.9284  0.7500
Cd  0.9284  0.0716  0.2500
Pt  0.0000  0.5000  0.0000
Pt  0.5000  0.0000  0.5000
Au  0.4283  0.5717  0.7500
Au  0.5717  0.4283  0.2500
O  0.1047  0.5629  0.7454
O  0.1670  0.8330  0.2500
O  0.2129  0.3228  0.1355
O  0.3228  0.2129  0.6355
O  0.4371  0.8953  0.7546
O  0.5629  0.1047  0.2454
O  0.6772  0.7871  0.3645
O  0.7871  0.6772  0.8645
O  0.8330  0.1670  0.7500
O  0.8953  0.4371  0.2546

Largest 6 diffraction maxima, by angle, 2θ from 15° to 90°:
| d (Å) | intensity |
| --- | --- |
| 3.266 | 78 |
| 2.933 | 68 |
| 2.833 | 100 |
| 2.810 | 63 |
| 2.549 | 30 |
| 2.340 | 34 |